This entry pairs a crystal structure of Hf3Sc2Zn3 with its computed XRD peak list. Radiation: Cu Kα. Structure: a structure optimized by DFT (PBE).

Cell and atoms:
Cell lengths 10.2465, 10.2465, 10.2465 Å; angles 161.27, 153.36, 32.76 degrees
Fractional coordinates of all 8 atoms:
Hf: 0.0000 0.0000 0.0000
Hf: 0.3774 0.8774 0.5000
Hf: 0.6226 0.1226 0.5000
Sc: 0.2337 0.2337 0.0000
Sc: 0.7663 0.7663 0.0000
Zn: 0.1171 0.6171 0.5000
Zn: 0.5000 0.5000 0.0000
Zn: 0.8829 0.3829 0.5000

Largest 10 diffraction maxima, sorted by position, 2θ from 10° to 80°:
d_spacing	Rel. int.
3.831	13
3.287	13
3.021	12
2.458	25
2.382	100
2.360	25
1.702	16
1.404	15
1.367	17
1.362	8


This entry pairs a crystal structure of HfZrSc6 with its computed XRD peak list. Radiation: Cu Kα. Structure: a structure optimized by DFT (PBE).

Cell and atoms:
Cell lengths 6.3891, 6.3891, 6.3891 Å; angles 110.51, 110.51, 110.51 degrees
Fractional coordinates of all 8 atoms:
Hf: 0.0000 0.0000 0.0000
Zr: 0.5000 0.5000 0.5000
Sc: 0.2494 0.2494 0.7504
Sc: 0.2494 0.7504 0.2494
Sc: 0.2496 0.7506 0.7506
Sc: 0.7504 0.2494 0.2494
Sc: 0.7506 0.2496 0.7506
Sc: 0.7506 0.7506 0.2496

Largest 10 diffraction maxima, sorted by position, 2θ from 10° to 80°:
d_spacing	Rel. int.
5.250	60
3.031	16
2.871	57
2.625	100
2.271	58
1.937	36
1.718	24
1.516	17
1.436	27
1.260	17